For AlH4Pd6, a cell relaxed with PBE gives the simulated powder XRD pattern in this record (Cu Kα, 1.54184 Å).
Peak positions follow from Bragg's law for the DFT cell and can differ from measured ones.

Cell and atoms:
```
data_AlH4Pd6
_space_group_name_H-M_alt 'P 1 21/m 1'
_space_group_IT_number 11
_cell_length_a 3.680
_cell_length_b 13.948
_cell_length_c 5.029
_cell_angle_alpha 90.00
_cell_angle_beta 111.38
_cell_angle_gamma 90.00
loop_
_space_group_symop_operation_xyz
'x,y,z'
'-x,-y,-z'
'-x,y+1/2,-z'
'x,-y+1/2,z'
loop_
_atom_site_label
_atom_site_type_symbol
_atom_site_fract_x
_atom_site_fract_y
_atom_site_fract_z
Al1 Al 0.190 0.250 0.369
H1 H 0.085 0.121 0.846
H2 H 0.451 0.038 0.288
Pd1 Pd 0.000 0.000 0.000
Pd2 Pd 0.119 0.750 0.242
Pd3 Pd 0.282 0.080 0.581
Pd4 Pd 0.422 0.649 0.845
```

Largest 6 diffraction maxima, sorted by position, 10° ≤ 2θ ≤ 90°:
(1 3 0), 2θ = 32.47°, rel. 50
(1 4 -1), 2θ = 36.78°, rel. 100
(0 5 1), 2θ = 37.53°, rel. 35
(1 1 1), 2θ = 38.36°, rel. 73
(1 2 -2), 2θ = 40.02°, rel. 47
(0 6 1), 2θ = 43.46°, rel. 36

---

For Pr2AlHPd6, a cell relaxed with PBE gives the simulated powder XRD pattern in this record (Cu Kα, 1.54184 Å).
Peak positions follow from Bragg's law for the DFT cell and can differ from measured ones.

Cell and atoms:
```
data_Pr2AlHPd6
_space_group_name_H-M_alt 'P -1'
_space_group_IT_number 2
_cell_length_a 5.799
_cell_length_b 5.806
_cell_length_c 6.886
_cell_angle_alpha 65.33
_cell_angle_beta 89.95
_cell_angle_gamma 60.05
loop_
_space_group_symop_operation_xyz
'x,y,z'
'-x,-y,-z'
loop_
_atom_site_label
_atom_site_type_symbol
_atom_site_fract_x
_atom_site_fract_y
_atom_site_fract_z
Pr1 Pr 0.228 0.043 0.184
Al1 Al 0.500 0.500 0.000
H1 H 0.000 0.500 0.500
Pd1 Pd 0.229 0.539 0.691
Pd2 Pd 0.230 0.039 0.691
Pd3 Pd 0.269 0.460 0.310
```

Largest 6 diffraction maxima, sorted by position, 10° ≤ 2θ ≤ 90°:
(0 0 2), 2θ = 29.60°, rel. 33
(2 2 0), 2θ = 37.13°, rel. 100
(1 1 -2), 2θ = 39.11°, rel. 14
(0 2 0), 2θ = 40.93°, rel. 23
(2 0 -2), 2θ = 41.15°, rel. 46
(2 4 2), 2θ = 64.16°, rel. 16

---

For AlZnHPd4, a cell relaxed with PBE gives the simulated powder XRD pattern in this record (Cu Kα, 1.54184 Å).
Peak positions follow from Bragg's law for the DFT cell and can differ from measured ones.

Cell and atoms:
```
data_AlZnHPd4
_space_group_name_H-M_alt 'C m c m'
_space_group_IT_number 63
_space_group_name_Hall '-C 2c 2'
_cell_length_a 5.419
_cell_length_b 13.093
_cell_length_c 5.424
_cell_angle_alpha 90.00
_cell_angle_beta 90.00
_cell_angle_gamma 90.00
loop_
_atom_site_label
_atom_site_type_symbol
_atom_site_fract_x
_atom_site_fract_y
_atom_site_fract_z
Al1 Al 0.000 0.113 0.250
Zn1 Zn 0.000 0.391 0.250
H1 H 0.000 0.260 0.750
Pd1 Pd 0.000 0.073 0.750
Pd2 Pd 0.000 0.419 0.750
Pd3 Pd 0.250 0.250 0.000
```

Largest 6 diffraction maxima, sorted by position, 10° ≤ 2θ ≤ 90°:
(2 2 0), 2θ = 35.85°, rel. 100
(0 6 0), 2θ = 41.37°, rel. 30
(2 4 0), 2θ = 43.34°, rel. 67
(2 0 2), 2θ = 47.43°, rel. 50
(2 6 2), 2θ = 64.73°, rel. 31
(4 4 2), 2θ = 85.39°, rel. 23

---

For PrAlH5, a cell relaxed with PBE gives the simulated powder XRD pattern in this record (Cu Kα, 1.54184 Å).
Peak positions follow from Bragg's law for the DFT cell and can differ from measured ones.

Cell and atoms:
```
data_PrAlH5
_space_group_name_H-M_alt 'C 1 2/c 1'
_space_group_IT_number 15
_cell_length_a 7.603
_cell_length_b 4.829
_cell_length_c 8.334
_cell_angle_alpha 90.00
_cell_angle_beta 116.24
_cell_angle_gamma 90.00
loop_
_space_group_symop_operation_xyz
'x,y,z'
'-x,-y,-z'
'-x,y,-z+1/2'
'x,-y,z+1/2'
'x+1/2,y+1/2,z'
'-x+1/2,-y+1/2,-z'
'-x+1/2,y+1/2,-z+1/2'
'x+1/2,-y+1/2,z+1/2'
loop_
_atom_site_label
_atom_site_type_symbol
_atom_site_fract_x
_atom_site_fract_y
_atom_site_fract_z
Pr1 Pr 0.000 0.192 0.250
Al1 Al 0.250 0.250 0.000
H1 H 0.000 0.288 0.750
H2 H 0.175 0.056 0.556
H3 H 0.185 0.442 0.138
```

Largest 6 diffraction maxima, sorted by position, 10° ≤ 2θ ≤ 90°:
(1 1 -1), 2θ = 22.64°, rel. 90
(0 0 2), 2θ = 23.81°, rel. 39
(2 0 -2), 2θ = 26.47°, rel. 66
(1 1 1), 2θ = 28.17°, rel. 100
(1 1 -3), 2θ = 37.45°, rel. 46
(3 1 -1), 2θ = 40.58°, rel. 37

---

For PrAlH, a cell relaxed with PBE gives the simulated powder XRD pattern in this record (Cu Kα, 1.54184 Å).
Peak positions follow from Bragg's law for the DFT cell and can differ from measured ones.

Cell and atoms:
```
data_PrAlH
_space_group_name_H-M_alt 'P 41 2 2'
_space_group_IT_number 91
_cell_length_a 4.388
_cell_length_b 4.388
_cell_length_c 23.611
_cell_angle_alpha 90.00
_cell_angle_beta 90.00
_cell_angle_gamma 90.00
loop_
_space_group_symop_operation_xyz
'x,y,z'
'-y,x,z+1/4'
'-x,-y,z+1/2'
'y,-x,z+3/4'
'x,-y,-z+1/2'
'-y,-x,-z+1/4'
'-x,y,-z'
'y,x,-z+3/4'
loop_
_atom_site_label
_atom_site_type_symbol
_atom_site_fract_x
_atom_site_fract_y
_atom_site_fract_z
Pr1 Pr 0.248 0.251 0.180
Al1 Al 0.250 0.262 0.035
H1 H 0.168 0.249 0.281
```

Largest 6 diffraction maxima, sorted by position, 10° ≤ 2θ ≤ 90°:
(1 0 3), 2θ = 23.21°, rel. 59
(1 0 5), 2θ = 27.75°, rel. 69
(1 1 2), 2θ = 29.77°, rel. 100
(0 0 8), 2θ = 30.28°, rel. 32
(1 1 6), 2θ = 36.89°, rel. 36
(2 0 0), 2θ = 41.14°, rel. 41

---

For Sc2AlHPt, a cell relaxed with PBE gives the simulated powder XRD pattern in this record (Cu Kα, 1.54184 Å).
Peak positions follow from Bragg's law for the DFT cell and can differ from measured ones.

Cell and atoms:
```
data_Sc2AlHPt
_space_group_name_H-M_alt 'P 4/m m m'
_space_group_IT_number 123
_space_group_name_Hall '-P 4 2'
_cell_length_a 4.260
_cell_length_b 4.260
_cell_length_c 4.073
_cell_angle_alpha 90.00
_cell_angle_beta 90.00
_cell_angle_gamma 90.00
loop_
_atom_site_label
_atom_site_type_symbol
_atom_site_fract_x
_atom_site_fract_y
_atom_site_fract_z
Sc1 Sc 0.000 0.500 0.000
Al1 Al 0.000 0.000 0.500
H1 H 0.000 0.000 0.000
Pt1 Pt 0.500 0.500 0.500
```

Largest 6 diffraction maxima, sorted by position, 10° ≤ 2θ ≤ 90°:
(1 0 0), 2θ = 20.85°, rel. 59
(1 0 1), 2θ = 30.36°, rel. 50
(1 1 1), 2θ = 37.12°, rel. 100
(2 0 0), 2θ = 42.44°, rel. 35
(2 1 1), 2θ = 53.07°, rel. 21
(3 1 1), 2θ = 74.14°, rel. 26

---

For Sm2AlHPt6, a cell relaxed with PBE gives the simulated powder XRD pattern in this record (Cu Kα, 1.54184 Å).
Peak positions follow from Bragg's law for the DFT cell and can differ from measured ones.

Cell and atoms:
```
data_Sm2AlHPt6
_space_group_name_H-M_alt 'R -3 m'
_space_group_IT_number 166
_space_group_name_Hall '-R 3 2"'
_cell_length_a 5.6876
_cell_length_b 5.6876
_cell_length_c 18.4318
_cell_angle_alpha 90.00
_cell_angle_beta 90.00
_cell_angle_gamma 120.00
loop_
_atom_site_label
_atom_site_type_symbol
_atom_site_fract_x
_atom_site_fract_y
_atom_site_fract_z
Sm1 Sm 0.0000 0.0000 0.2165
Al1 Al 0.0000 0.0000 0.5000
H1 H 0.0000 0.0000 0.0000
Pt1 Pt 0.0031 0.5015 0.2693
```

Largest 6 diffraction maxima, sorted by position, 10° ≤ 2θ ≤ 90°:
(0 0 6), 2θ = 29.07°, rel. 30
(0 1 5), 2θ = 30.28°, rel. 21
(2 0 2), 2θ = 37.81°, rel. 100
(0 2 4), 2θ = 41.58°, rel. 64
(1 1 9), 2θ = 55.28°, rel. 20
(2 2 0), 2θ = 65.66°, rel. 24

---

For SmAlHPt2, a cell relaxed with PBE gives the simulated powder XRD pattern in this record (Cu Kα, 1.54184 Å).
Peak positions follow from Bragg's law for the DFT cell and can differ from measured ones.

Cell and atoms:
```
data_SmAlHPt2
_space_group_name_H-M_alt 'C m c m'
_space_group_IT_number 63
_space_group_name_Hall '-C 2c 2'
_cell_length_a 3.892
_cell_length_b 11.060
_cell_length_c 7.380
_cell_angle_alpha 90.00
_cell_angle_beta 90.00
_cell_angle_gamma 90.00
loop_
_atom_site_label
_atom_site_type_symbol
_atom_site_fract_x
_atom_site_fract_y
_atom_site_fract_z
Sm1 Sm 0.000 0.056 0.250
Al1 Al 0.000 0.226 0.750
H1 H 0.000 0.500 0.000
Pt1 Pt 0.000 0.343 0.055
```

Largest 6 diffraction maxima, sorted by position, 10° ≤ 2θ ≤ 90°:
(1 3 0), 2θ = 33.48°, rel. 100
(1 1 2), 2θ = 34.46°, rel. 93
(0 4 1), 2θ = 34.64°, rel. 31
(0 2 3), 2θ = 40.12°, rel. 49
(2 0 0), 2θ = 46.68°, rel. 33
(1 5 3), 2θ = 61.17°, rel. 38

---

For PuAlH8Rh2, a cell relaxed with PBE gives the simulated powder XRD pattern in this record (Cu Kα, 1.54184 Å).
Peak positions follow from Bragg's law for the DFT cell and can differ from measured ones.

Cell and atoms:
```
data_PuAlH8Rh2
_space_group_name_H-M_alt 'R -3 m'
_space_group_IT_number 166
_space_group_name_Hall '-R 3 2"'
_cell_length_a 4.2555
_cell_length_b 4.2555
_cell_length_c 18.3240
_cell_angle_alpha 90.00
_cell_angle_beta 90.00
_cell_angle_gamma 120.00
loop_
_atom_site_label
_atom_site_type_symbol
_atom_site_fract_x
_atom_site_fract_y
_atom_site_fract_z
Pu1 Pu 0.0000 0.0000 0.0000
Al1 Al 0.0000 0.0000 0.5000
H1 H 0.0000 0.0000 0.3583
H2 H 0.0014 0.5007 0.0691
Rh1 Rh 0.0000 0.0000 0.2028
```

Largest 6 diffraction maxima, sorted by position, 10° ≤ 2θ ≤ 90°:
(1 0 1), 2θ = 24.64°, rel. 91
(1 0 4), 2θ = 31.15°, rel. 85
(0 1 5), 2θ = 34.51°, rel. 100
(1 1 0), 2θ = 42.48°, rel. 71
(1 1 6), 2θ = 52.41°, rel. 33
(1 0 10), 2θ = 56.05°, rel. 31

---

For RbAl4H12, a cell relaxed with PBE gives the simulated powder XRD pattern in this record (Cu Kα, 1.54184 Å).
Peak positions follow from Bragg's law for the DFT cell and can differ from measured ones.

Cell and atoms:
```
data_RbAl4H12
_space_group_name_H-M_alt 'I m -3 m'
_space_group_IT_number 229
_space_group_name_Hall '-I 4 2 3'
_cell_length_a 7.253
_cell_length_b 7.253
_cell_length_c 7.253
_cell_angle_alpha 90.00
_cell_angle_beta 90.00
_cell_angle_gamma 90.00
loop_
_atom_site_label
_atom_site_type_symbol
_atom_site_fract_x
_atom_site_fract_y
_atom_site_fract_z
Rb1 Rb 0.000 0.000 0.000
Al1 Al 0.250 0.250 0.250
H1 H 0.000 0.251 0.251
```

Largest 6 diffraction maxima, sorted by position, 10° ≤ 2θ ≤ 90°:
(1 1 0), 2θ = 17.29°, rel. 100
(2 1 1), 2θ = 30.18°, rel. 51
(2 2 0), 2θ = 34.99°, rel. 82
(3 1 0), 2θ = 39.28°, rel. 25
(3 2 1), 2θ = 46.87°, rel. 29
(4 2 2), 2θ = 62.76°, rel. 30